Record 1
# Er3TlRh
Simulated powder X-ray diffraction pattern, λ = 1.5418 Å (Cu Kα). Input: a DFT-relaxed cell (GGA-PBE, Alexandria).

Largest 10 diffraction maxima, sorted by position, 10° ≤ 2θ ≤ 80°:
28.40°, d = 3.142 Å, intensity 26; 28.74°, d = 3.107 Å, intensity 49; 31.67°, d = 2.826 Å, intensity 26; 34.26°, d = 2.617 Å, intensity 100; 38.06°, d = 2.365 Å, intensity 34; 40.22°, d = 2.242 Å, intensity 16; 42.30°, d = 2.137 Å, intensity 13; 48.17°, d = 1.889 Å, intensity 18; 66.34°, d = 1.409 Å, intensity 14; 67.92°, d = 1.380 Å, intensity 13

a = 4.729 Å, b = 6.798 Å, c = 8.241 Å
α = 90.00°, β = 90.00°, γ = 90.00°
Fractional coordinates of all 10 atoms:
1 Er 0.250 0.004 0.157
2 Er 0.250 0.496 0.157
3 Er 0.250 0.750 0.562
4 Er 0.750 0.250 0.438
5 Er 0.750 0.504 0.843
6 Er 0.750 0.996 0.843
7 Tl 0.250 0.250 0.681
8 Tl 0.750 0.750 0.319
9 Rh 0.250 0.750 0.892
10 Rh 0.750 0.250 0.108

Record 2
# Ho7ThIn4
Simulated powder X-ray diffraction pattern, λ = 1.5418 Å (Cu Kα). Input: a DFT-relaxed cell (GGA-PBE, Alexandria).

Largest 10 diffraction maxima, sorted by position, 10° ≤ 2θ ≤ 80°:
29.14°, d = 3.064 Å, intensity 38; 29.43°, d = 3.035 Å, intensity 15; 30.09°, d = 2.970 Å, intensity 41; 31.13°, d = 2.873 Å, intensity 100; 31.54°, d = 2.836 Å, intensity 34; 33.13°, d = 2.704 Å, intensity 17; 36.05°, d = 2.491 Å, intensity 46; 43.18°, d = 2.095 Å, intensity 26; 44.92°, d = 2.018 Å, intensity 26; 64.96°, d = 1.436 Å, intensity 13

a = 7.782 Å, b = 7.782 Å, c = 10.143 Å
α = 120.35°, β = 120.35°, γ = 43.30°
Fractional coordinates of all 12 atoms:
1 Ho 0.000 0.000 0.000
2 Ho 0.229 0.229 0.674
3 Ho 0.293 0.293 0.119
4 Ho 0.435 0.435 0.602
5 Ho 0.565 0.565 0.398
6 Ho 0.707 0.707 0.881
7 Ho 0.771 0.771 0.326
8 Th 0.500 0.500 0.000
9 In 0.056 0.056 0.745
10 In 0.183 0.183 0.336
11 In 0.817 0.817 0.664
12 In 0.944 0.944 0.255

Record 3
# TbTmAlGa
Simulated powder X-ray diffraction pattern, λ = 1.5418 Å (Cu Kα). Input: a DFT-relaxed cell (GGA-PBE, Alexandria).

Largest 10 diffraction maxima, sorted by position, 10° ≤ 2θ ≤ 80°:
21.81°, d = 4.075 Å, intensity 19; 27.40°, d = 3.255 Å, intensity 43; 31.14°, d = 2.873 Å, intensity 100; 31.89°, d = 2.806 Å, intensity 48; 32.73°, d = 2.736 Å, intensity 28; 39.05°, d = 2.307 Å, intensity 39; 41.12°, d = 2.195 Å, intensity 24; 44.76°, d = 2.025 Å, intensity 19; 50.12°, d = 1.820 Å, intensity 17; 56.00°, d = 1.642 Å, intensity 20

a = 4.050 Å, b = 4.391 Å, c = 10.946 Å
α = 90.00°, β = 90.00°, γ = 90.00°
Fractional coordinates of all 8 atoms:
1 Tb 0.000 0.000 0.000
2 Tb 0.000 0.500 0.500
3 Tm 0.500 0.000 0.281
4 Tm 0.500 0.500 0.781
5 Al 0.000 0.000 0.713
6 Al 0.000 0.500 0.213
7 Ga 0.500 0.000 0.562
8 Ga 0.500 0.500 0.062

Record 4
# Np3TiRh12
Simulated powder X-ray diffraction pattern, λ = 1.5418 Å (Cu Kα). Input: a DFT-relaxed cell (GGA-PBE, Alexandria).

Largest 10 diffraction maxima, sorted by position, 10° ≤ 2θ ≤ 80°:
22.33°, d = 3.981 Å, intensity 8; 28.01°, d = 3.186 Å, intensity 3; 31.79°, d = 2.815 Å, intensity 6; 36.13°, d = 2.486 Å, intensity 4; 39.20°, d = 2.298 Å, intensity 100; 45.45°, d = 1.996 Å, intensity 16; 45.64°, d = 1.988 Å, intensity 33; 66.38°, d = 1.408 Å, intensity 20; 66.53°, d = 1.405 Å, intensity 11; 79.74°, d = 1.203 Å, intensity 11

a = 3.975 Å, b = 3.975 Å, c = 15.966 Å
α = 90.00°, β = 90.00°, γ = 90.00°
Fractional coordinates of all 16 atoms:
1 Np 0.000 0.000 0.000
2 Np 0.000 0.000 0.256
3 Np 0.000 0.000 0.744
4 Ti 0.000 0.000 0.500
5 Rh 0.000 0.500 0.128
6 Rh 0.000 0.500 0.382
7 Rh 0.000 0.500 0.618
8 Rh 0.000 0.500 0.872
9 Rh 0.500 0.000 0.128
10 Rh 0.500 0.000 0.382
11 Rh 0.500 0.000 0.618
12 Rh 0.500 0.000 0.872
13 Rh 0.500 0.500 0.000
14 Rh 0.500 0.500 0.255
15 Rh 0.500 0.500 0.500
16 Rh 0.500 0.500 0.745

Record 5
# BaAcP2
Simulated powder X-ray diffraction pattern, λ = 1.5418 Å (Cu Kα). Input: a DFT-relaxed cell (GGA-PBE, Alexandria).

Largest 10 diffraction maxima, sorted by position, 10° ≤ 2θ ≤ 80°:
23.76°, d = 3.745 Å, intensity 24; 24.01°, d = 3.706 Å, intensity 68; 27.72°, d = 3.218 Å, intensity 100; 39.45°, d = 2.284 Å, intensity 38; 39.77°, d = 2.267 Å, intensity 38; 46.85°, d = 1.939 Å, intensity 25; 49.17°, d = 1.853 Å, intensity 21; 64.56°, d = 1.444 Å, intensity 18; 65.01°, d = 1.435 Å, intensity 18; 71.97°, d = 1.312 Å, intensity 13

a = 4.533 Å, b = 4.533 Å, c = 22.469 Å
α = 90.00°, β = 90.00°, γ = 120.00°
Fractional coordinates of all 12 atoms:
1 Ba 0.000 0.000 0.000
2 Ba 0.333 0.667 0.667
3 Ba 0.667 0.333 0.333
4 Ac 0.000 0.000 0.500
5 Ac 0.333 0.667 0.167
6 Ac 0.667 0.333 0.833
7 P 0.000 0.000 0.243
8 P 0.000 0.000 0.757
9 P 0.333 0.667 0.424
10 P 0.333 0.667 0.909
11 P 0.667 0.333 0.091
12 P 0.667 0.333 0.576

Record 6
# NdSbH
Simulated powder X-ray diffraction pattern, λ = 1.5418 Å (Cu Kα). Input: a DFT-relaxed cell (GGA-PBE, Alexandria).

Largest 10 diffraction maxima, sorted by position, 10° ≤ 2θ ≤ 80°:
26.24°, d = 3.396 Å, intensity 28; 32.30°, d = 2.772 Å, intensity 100; 37.50°, d = 2.398 Å, intensity 15; 46.32°, d = 1.960 Å, intensity 37; 54.00°, d = 1.698 Å, intensity 4; 57.58°, d = 1.601 Å, intensity 19; 61.04°, d = 1.518 Å, intensity 21; 64.40°, d = 1.447 Å, intensity 13; 67.59°, d = 1.386 Å, intensity 4; 76.88°, d = 1.240 Å, intensity 16

a = 3.922 Å, b = 3.922 Å, c = 4.797 Å
α = 90.00°, β = 90.00°, γ = 120.00°
Fractional coordinates of all 3 atoms:
1 Nd 0.000 0.000 0.000
2 Sb 0.333 0.667 0.500
3 H 0.667 0.333 0.000

Record 7
# PmEr5Sc
Simulated powder X-ray diffraction pattern, λ = 1.5418 Å (Cu Kα). Input: a DFT-relaxed cell (GGA-PBE, Alexandria).

Largest 10 diffraction maxima, sorted by position, 10° ≤ 2θ ≤ 80°:
30.37°, d = 2.943 Å, intensity 71; 31.63°, d = 2.829 Å, intensity 91; 32.23°, d = 2.777 Å, intensity 77; 32.51°, d = 2.754 Å, intensity 74; 33.46°, d = 2.678 Å, intensity 65; 33.56°, d = 2.670 Å, intensity 100; 49.18°, d = 1.853 Å, intensity 34; 51.98°, d = 1.759 Å, intensity 24; 59.41°, d = 1.556 Å, intensity 26; 62.49°, d = 1.486 Å, intensity 24

a = 8.482 Å, b = 3.519 Å, c = 14.281 Å
α = 90.00°, β = 91.96°, γ = 90.00°
Fractional coordinates of all 14 atoms:
1 Pm 0.131 0.250 0.191
2 Pm 0.869 0.750 0.809
3 Er 0.032 0.750 0.394
4 Er 0.160 0.250 0.948
5 Er 0.279 0.750 0.739
6 Er 0.329 0.250 0.517
7 Er 0.446 0.750 0.097
8 Er 0.554 0.250 0.903
9 Er 0.671 0.750 0.483
10 Er 0.721 0.250 0.261
11 Er 0.840 0.750 0.052
12 Er 0.968 0.250 0.606
13 Sc 0.400 0.750 0.321
14 Sc 0.600 0.250 0.679

Record 8
# CaSmPtRh
Simulated powder X-ray diffraction pattern, λ = 1.5418 Å (Cu Kα). Input: a DFT-relaxed cell (GGA-PBE, Alexandria).

Largest 10 diffraction maxima, sorted by position, 10° ≤ 2θ ≤ 80°:
13.18°, d = 6.715 Å, intensity 28; 28.30°, d = 3.154 Å, intensity 12; 35.54°, d = 2.526 Å, intensity 56; 36.73°, d = 2.447 Å, intensity 100; 38.06°, d = 2.364 Å, intensity 9; 51.13°, d = 1.786 Å, intensity 20; 54.67°, d = 1.679 Å, intensity 8; 64.60°, d = 1.443 Å, intensity 38; 66.92°, d = 1.398 Å, intensity 16; 78.12°, d = 1.223 Å, intensity 11

a = 3.573 Å, b = 3.573 Å, c = 6.715 Å
α = 90.00°, β = 90.00°, γ = 90.00°
Fractional coordinates of all 4 atoms:
1 Ca 0.000 0.000 0.000
2 Sm 0.000 0.000 0.503
3 Pt 0.500 0.500 0.260
4 Rh 0.500 0.500 0.735

Record 9
# Rb2CuSn2
Simulated powder X-ray diffraction pattern, λ = 1.5418 Å (Cu Kα). Input: a DFT-relaxed cell (GGA-PBE, Alexandria).

Largest 10 diffraction maxima, sorted by position, 10° ≤ 2θ ≤ 80°:
11.51°, d = 7.685 Å, intensity 64; 23.15°, d = 3.843 Å, intensity 57; 25.92°, d = 3.437 Å, intensity 25; 29.64°, d = 3.014 Å, intensity 82; 30.67°, d = 2.915 Å, intensity 100; 31.78°, d = 2.816 Å, intensity 74; 34.01°, d = 2.636 Å, intensity 46; 42.38°, d = 2.133 Å, intensity 29; 49.55°, d = 1.840 Å, intensity 44; 50.31°, d = 1.814 Å, intensity 50

a = 10.868 Å, b = 10.868 Å, c = 3.454 Å
α = 90.00°, β = 90.00°, γ = 90.00°
Fractional coordinates of all 10 atoms:
1 Rb 0.206 0.294 0.000
2 Rb 0.294 0.794 0.000
3 Rb 0.706 0.206 0.000
4 Rb 0.794 0.706 0.000
5 Cu 0.000 0.000 0.500
6 Cu 0.500 0.500 0.500
7 Sn 0.090 0.590 0.500
8 Sn 0.410 0.090 0.500
9 Sn 0.590 0.910 0.500
10 Sn 0.910 0.410 0.500

Record 10
# MnCo2S6
Simulated powder X-ray diffraction pattern, λ = 1.5418 Å (Cu Kα). Input: a DFT-relaxed cell (GGA-PBE, Alexandria).

Largest 10 diffraction maxima, sorted by position, 10° ≤ 2θ ≤ 80°:
17.36°, d = 5.108 Å, intensity 22; 18.65°, d = 4.757 Å, intensity 100; 34.31°, d = 2.613 Å, intensity 30; 35.71°, d = 2.515 Å, intensity 83; 46.88°, d = 1.938 Å, intensity 16; 47.52°, d = 1.913 Å, intensity 79; 55.06°, d = 1.668 Å, intensity 47; 57.24°, d = 1.609 Å, intensity 15; 63.42°, d = 1.467 Å, intensity 15; 75.64°, d = 1.257 Å, intensity 18

a = 6.101 Å, b = 6.101 Å, c = 6.101 Å
α = 56.53°, β = 56.53°, γ = 56.53°
Fractional coordinates of all 9 atoms:
1 Mn 0.000 0.000 0.000
2 Co 0.178 0.178 0.178
3 Co 0.822 0.822 0.822
4 S 0.091 0.409 0.768
5 S 0.232 0.909 0.591
6 S 0.409 0.768 0.091
7 S 0.591 0.232 0.909
8 S 0.768 0.091 0.409
9 S 0.909 0.591 0.232

Record 11
# TbSmZnCu
Simulated powder X-ray diffraction pattern, λ = 1.5418 Å (Cu Kα). Input: a DFT-relaxed cell (GGA-PBE, Alexandria).

Largest 10 diffraction maxima, sorted by position, 10° ≤ 2θ ≤ 80°:
24.88°, d = 3.578 Å, intensity 6; 25.02°, d = 3.559 Å, intensity 11; 35.61°, d = 2.521 Å, intensity 100; 43.99°, d = 2.059 Å, intensity 5; 51.05°, d = 1.789 Å, intensity 6; 51.34°, d = 1.780 Å, intensity 12; 57.90°, d = 1.593 Å, intensity 5; 63.83°, d = 1.458 Å, intensity 12; 64.02°, d = 1.454 Å, intensity 23; 75.32°, d = 1.262 Å, intensity 7

a = 3.559 Å, b = 3.559 Å, c = 7.157 Å
α = 90.00°, β = 90.00°, γ = 90.00°
Fractional coordinates of all 4 atoms:
1 Tb 0.000 0.000 0.000
2 Sm 0.000 0.000 0.512
3 Zn 0.500 0.500 0.249
4 Cu 0.500 0.500 0.768

Record 12
# PaBe2Hg2O6
Simulated powder X-ray diffraction pattern, λ = 1.5418 Å (Cu Kα). Input: a DFT-relaxed cell (GGA-PBE, Alexandria).

Largest 10 diffraction maxima, sorted by position, 10° ≤ 2θ ≤ 80°:
23.43°, d = 3.798 Å, intensity 100; 33.19°, d = 2.699 Å, intensity 42; 33.55°, d = 2.671 Å, intensity 47; 41.02°, d = 2.200 Å, intensity 28; 47.91°, d = 1.899 Å, intensity 16; 53.75°, d = 1.705 Å, intensity 24; 54.24°, d = 1.691 Å, intensity 23; 59.30°, d = 1.558 Å, intensity 11; 59.52°, d = 1.553 Å, intensity 17; 60.21°, d = 1.537 Å, intensity 9

a = 5.399 Å, b = 5.399 Å, c = 6.510 Å
α = 90.00°, β = 90.00°, γ = 120.00°
Fractional coordinates of all 11 atoms:
1 Pa 0.000 0.000 0.000
2 Be 0.333 0.667 0.802
3 Be 0.667 0.333 0.198
4 Hg 0.333 0.667 0.355
5 Hg 0.667 0.333 0.645
6 O 0.069 0.709 0.805
7 O 0.291 0.360 0.805
8 O 0.360 0.069 0.195
9 O 0.640 0.931 0.805
10 O 0.709 0.640 0.195
11 O 0.931 0.291 0.195

Record 13
# Tl3TeSe4
Simulated powder X-ray diffraction pattern, λ = 1.5418 Å (Cu Kα). Input: a DFT-relaxed cell (GGA-PBE, Alexandria).

Largest 10 diffraction maxima, sorted by position, 10° ≤ 2θ ≤ 80°:
23.31°, d = 3.816 Å, intensity 37; 28.81°, d = 3.099 Å, intensity 100; 29.13°, d = 3.065 Å, intensity 13; 29.81°, d = 2.997 Å, intensity 19; 37.13°, d = 2.421 Å, intensity 49; 44.97°, d = 2.016 Å, intensity 20; 47.67°, d = 1.908 Å, intensity 19; 47.87°, d = 1.900 Å, intensity 18; 54.48°, d = 1.684 Å, intensity 11; 61.92°, d = 1.499 Å, intensity 15

a = 6.377 Å, b = 6.377 Å, c = 6.377 Å
α = 98.83°, β = 98.83°, γ = 98.83°
Fractional coordinates of all 8 atoms:
1 Tl 0.027 0.487 0.487
2 Tl 0.487 0.027 0.487
3 Tl 0.487 0.487 0.027
4 Te 0.985 0.985 0.985
5 Se 0.376 0.958 0.958
6 Se 0.520 0.520 0.520
7 Se 0.958 0.376 0.958
8 Se 0.958 0.958 0.376

Record 14
# Sc2Sb2Pt
Simulated powder X-ray diffraction pattern, λ = 1.5418 Å (Cu Kα). Input: a DFT-relaxed cell (GGA-PBE, Alexandria).

Largest 10 diffraction maxima, sorted by position, 10° ≤ 2θ ≤ 80°:
20.81°, d = 4.268 Å, intensity 84; 27.36°, d = 3.260 Å, intensity 24; 27.93°, d = 3.195 Å, intensity 19; 32.69°, d = 2.739 Å, intensity 25; 35.09°, d = 2.558 Å, intensity 100; 35.54°, d = 2.526 Å, intensity 19; 39.91°, d = 2.259 Å, intensity 76; 42.35°, d = 2.134 Å, intensity 31; 45.43°, d = 1.997 Å, intensity 60; 59.60°, d = 1.551 Å, intensity 46

a = 7.144 Å, b = 7.144 Å, c = 4.268 Å
α = 90.00°, β = 90.00°, γ = 90.00°
Fractional coordinates of all 10 atoms:
1 Sc 0.162 0.338 0.000
2 Sc 0.338 0.838 0.000
3 Sc 0.662 0.162 0.000
4 Sc 0.838 0.662 0.000
5 Sb 0.147 0.647 0.500
6 Sb 0.353 0.147 0.500
7 Sb 0.647 0.853 0.500
8 Sb 0.853 0.353 0.500
9 Pt 0.000 0.000 0.500
10 Pt 0.500 0.500 0.500